Diffraction record for H12PdC6S4N2. The PXRD pattern is computed, not measured: it uses the GGA-PBE geometry in OQMD and λ = 1.5418 Å (Cu Kα).
Neutral-atom scattering factors, no anomalous dispersion.

Crystal structure
Lattice parameters (Å, degrees): 6.474 7.087 7.597 66.18 66.70 84.72
Fractional positions:
H: 0.002 0.281 0.382
H: 0.135 0.894 0.662
H: 0.265 0.852 0.424
H: 0.397 0.241 0.482
H: 0.430 0.463 0.246
H: 0.460 0.774 0.769
H: 0.540 0.226 0.231
H: 0.570 0.537 0.754
H: 0.603 0.759 0.518
H: 0.735 0.148 0.576
H: 0.865 0.106 0.338
H: 0.998 0.719 0.618
Pd: 0.000 0.000 0.000
C: 0.161 0.780 0.593
C: 0.191 0.416 0.790
C: 0.491 0.674 0.683
C: 0.509 0.326 0.317
C: 0.809 0.584 0.210
C: 0.839 0.220 0.407
S: 0.062 0.664 0.192
S: 0.317 0.208 0.913
S: 0.683 0.792 0.087
S: 0.938 0.336 0.808
N: 0.278 0.612 0.693
N: 0.722 0.388 0.307

Most intense lines, 10° ≤ 2θ ≤ 80°, low angle first:
(0 0 1), 13.86°, intensity 76; (1 0 0), 14.95°, intensity 53; (0 1 1), 15.08°, intensity 70; (1 0 1), 15.90°, intensity 88; (-1 1 1), 24.22°, intensity 63; (0 1 2), 25.66°, intensity 100; (1 -2 1), 35.76°, intensity 20; (2 2 2), 36.33°, intensity 16; (2 -2 1), 41.88°, intensity 15; (3 1 1), 43.94°, intensity 15

***

Diffraction record for H12PtC6S4N2. The PXRD pattern is computed, not measured: it uses the GGA-PBE geometry in OQMD and λ = 1.5418 Å (Cu Kα).
Neutral-atom scattering factors, no anomalous dispersion.

Crystal structure
Lattice parameters (Å, degrees): 6.383 7.196 7.504 64.17 66.72 84.96
Fractional positions:
H: 0.002 0.274 0.399
H: 0.128 0.896 0.655
H: 0.270 0.870 0.407
H: 0.401 0.207 0.493
H: 0.410 0.456 0.281
H: 0.466 0.751 0.785
H: 0.534 0.249 0.215
H: 0.590 0.544 0.719
H: 0.599 0.793 0.507
H: 0.730 0.130 0.593
H: 0.872 0.104 0.345
H: 0.998 0.726 0.601
Pt: 0.000 0.000 0.000
C: 0.161 0.788 0.580
C: 0.189 0.423 0.788
C: 0.496 0.680 0.674
C: 0.504 0.320 0.326
C: 0.811 0.577 0.212
C: 0.839 0.212 0.420
S: 0.068 0.662 0.189
S: 0.316 0.212 0.916
S: 0.684 0.788 0.084
S: 0.932 0.338 0.811
N: 0.279 0.620 0.684
N: 0.721 0.380 0.316

Most intense lines, 10° ≤ 2θ ≤ 80°, low angle first:
(0 1 0), 13.74°, intensity 29; (0 0 1), 14.30°, intensity 98; (0 1 1), 14.87°, intensity 96; (1 0 0), 15.19°, intensity 77; (1 0 1), 16.20°, intensity 100; (1 -1 0), 19.46°, intensity 27; (-1 1 1), 24.24°, intensity 69; (1 1 2), 24.40°, intensity 23; (0 1 2), 25.88°, intensity 90; (2 1 0), 35.02°, intensity 44